Simulated X-ray diffraction stick pattern
Compound: LaPm7Er2
Radiation: Cu Kα X-rays
Structure: a PBE-relaxed structure
Lines closer than 0.1° are merged.

Largest 10 diffraction maxima, by angle, 2θ = 10–90°:
2θ (°), d_spacing, intensity
15.2, 5.846, 619
25.2, 3.532, 455
30.6, 2.923, 883
30.8, 2.903, 459
34.3, 2.613, 303
34.5, 2.600, 1000
34.9, 2.571, 222
44.0, 2.060, 347
56.9, 1.619, 298
65.1, 1.432, 255

Structure:
Cell: 8.865 8.865 5.846 Å, 90.00 90.00 119.53°
Fractional coordinates of all 10 atoms:
1 La 0.000 0.000 0.000
2 Pm 0.078 0.301 0.500
3 Pm 0.301 0.078 0.500
4 Pm 0.343 0.657 0.000
5 Pm 0.500 0.500 0.500
6 Pm 0.657 0.343 0.000
7 Pm 0.699 0.922 0.500
8 Pm 0.922 0.699 0.500
9 Er 0.283 0.717 0.500
10 Er 0.717 0.283 0.500

Simulated X-ray diffraction stick pattern
Compound: Rb2RhPbCl6
Radiation: Cu Kα X-rays
Structure: a PBE-relaxed structure
Lines closer than 0.1° are merged.

Largest 10 diffraction maxima, by angle, 2θ = 10–90°:
2θ (°), d_spacing, intensity
16.8, 5.286, 307
23.8, 3.738, 1000
33.9, 2.643, 572
38.1, 2.364, 145
41.9, 2.158, 453
48.7, 1.869, 385
55.0, 1.670, 151
60.7, 1.526, 128
66.1, 1.413, 170
81.5, 1.181, 107

Structure:
Cell: 7.479 7.479 7.479 Å, 120.09 120.09 89.84°
Fractional coordinates of all 10 atoms:
1 Rb 0.250 0.750 0.500
2 Rb 0.750 0.250 0.500
3 Rh 0.000 0.000 0.000
4 Pb 0.500 0.500 0.000
5 Cl 0.232 0.232 0.464
6 Cl 0.232 0.768 0.000
7 Cl 0.233 0.233 0.000
8 Cl 0.767 0.767 0.000
9 Cl 0.768 0.232 0.000
10 Cl 0.768 0.768 0.536

Simulated X-ray diffraction stick pattern
Compound: SbHO3
Radiation: Cu Kα X-rays
Structure: a PBE-relaxed structure
Lines closer than 0.1° are merged.

Largest 10 diffraction maxima, by angle, 2θ = 10–90°:
2θ (°), d_spacing, intensity
14.6, 6.056, 1000
27.7, 3.221, 340
29.2, 3.055, 122
29.5, 3.028, 514
33.3, 2.689, 94
37.8, 2.382, 82
44.9, 2.019, 83
47.8, 1.902, 85
49.8, 1.832, 170
57.2, 1.610, 154

Structure:
Cell: 7.607 7.343 7.350 Å, 62.36 58.77 58.87°
Fractional coordinates of all 20 atoms:
1 Sb 0.000 0.000 0.249
2 Sb 0.000 0.000 0.751
3 Sb 0.001 0.499 0.250
4 Sb 0.499 0.001 0.250
5 H 0.050 0.594 0.845
6 H 0.405 0.739 0.200
7 H 0.594 0.050 0.511
8 H 0.739 0.405 0.656
9 O 0.062 0.062 0.938
10 O 0.073 0.684 0.305
11 O 0.080 0.661 0.910
12 O 0.312 0.312 0.188
13 O 0.313 0.945 0.566
14 O 0.340 0.901 0.170
15 O 0.661 0.080 0.349
16 O 0.683 0.683 0.317
17 O 0.684 0.073 0.937
18 O 0.901 0.340 0.589
19 O 0.933 0.933 0.567
20 O 0.945 0.313 0.177

Simulated X-ray diffraction stick pattern
Compound: Nd4ThIn3
Radiation: Cu Kα X-rays
Structure: a PBE-relaxed structure
Lines closer than 0.1° are merged.

Largest 10 diffraction maxima, by angle, 2θ = 10–90°:
2θ (°), d_spacing, intensity
31.0, 2.884, 288
31.8, 2.813, 274
32.9, 2.724, 1000
45.0, 2.014, 206
56.4, 1.633, 206
57.4, 1.607, 212
59.4, 1.556, 90
59.9, 1.545, 89
68.9, 1.362, 115
75.3, 1.262, 87

Structure:
Cell: 3.698 5.627 11.537 Å, 90.00 90.00 90.00°
Fractional coordinates of all 8 atoms:
1 Nd 0.000 0.000 0.000
2 Nd 0.000 0.000 0.500
3 Nd 0.000 0.500 0.241
4 Nd 0.000 0.500 0.759
5 Th 0.500 0.500 0.500
6 In 0.500 0.000 0.257
7 In 0.500 0.000 0.743
8 In 0.500 0.500 0.000

Simulated X-ray diffraction stick pattern
Compound: LiNiSnIr
Radiation: Cu Kα X-rays
Structure: a PBE-relaxed structure
Lines closer than 0.1° are merged.

Largest 10 diffraction maxima, by angle, 2θ = 10–90°:
2θ (°), d_spacing, intensity
25.4, 3.505, 665
40.6, 2.224, 1000
44.3, 2.044, 158
45.0, 2.014, 372
51.3, 1.780, 127
52.4, 1.746, 197
65.6, 1.424, 122
70.6, 1.333, 196
80.0, 1.199, 281
87.8, 1.112, 115

Structure:
Cell: 4.558 4.558 4.558 Å, 127.57 127.57 77.33°
Fractional coordinates of all 4 atoms:
1 Li 0.000 0.000 0.000
2 Ni 0.250 0.750 0.500
3 Sn 0.500 0.500 0.000
4 Ir 0.750 0.250 0.500

Simulated X-ray diffraction stick pattern
Compound: ScTiZnMo
Radiation: Cu Kα X-rays
Structure: a PBE-relaxed structure
Lines closer than 0.1° are merged.

Largest 10 diffraction maxima, by angle, 2θ = 10–90°:
2θ (°), d_spacing, intensity
23.8, 3.732, 27
27.6, 3.232, 112
39.4, 2.286, 1000
46.6, 1.949, 12
48.8, 1.866, 33
57.0, 1.616, 159
64.5, 1.446, 44
71.5, 1.320, 311
84.8, 1.143, 98
89.7, 1.093, 5

Structure:
Cell: 4.571 4.571 4.571 Å, 60.00 60.00 60.00°
Fractional coordinates of all 4 atoms:
1 Sc 0.000 0.000 0.000
2 Ti 0.500 0.500 0.500
3 Zn 0.750 0.750 0.750
4 Mo 0.250 0.250 0.250